This entry pairs a crystal structure of Mg3Ag5 with its simulated powder diffraction line list. Radiation: Cu Kα (λ = 1.5418 Å). Structure: a cell relaxed with GGA-PBE.

Principal peaks in the range 2θ = 10–90°, by angle:
(1 0 1), 2θ = 27.20°, I 31
(1 1 0), 2θ = 37.40°, I 59
(1 0 4), 2θ = 39.48°, I 100
(2 0 0), 2θ = 53.92°, I 19
(2 1 4), 2θ = 68.85°, I 36
(1 1 8), 2θ = 72.96°, I 15

Structural model:
```
8
Lattice="3.401 0.000 0.000 0.000 3.401 0.000 0.000 0.000 12.317" Properties=species:S:1:pos:R:3 pbc="T T T"
Mg 0.000 0.000 0.000
Mg 1.700 1.700 4.569
Mg 1.700 1.700 7.748
Ag 0.000 0.000 3.096
Ag 0.000 0.000 6.158
Ag 0.000 0.000 9.221
Ag 1.700 1.700 1.507
Ag 1.700 1.700 10.810
```